The following is a theoretical PXRD pattern of Li2FeSiO4. It was derived from a GGA+U-relaxed structure, using Cu Ka.
Lines closer than 0.1° are merged.

Atomic structure:
Unit cell a=5.132 b=11.037 c=6.232 alpha=90.00 beta=91.31 gamma=90.00
Space group P2_1 (No. 4)
Inequivalent atoms, fractional coordinates:
Li: 0.046 0.000 0.002 (multiplicity 2)
Li: 0.058 0.770 0.243 (multiplicity 2)
Li: 0.442 0.087 0.248 (multiplicity 2)
Li: 0.452 0.857 0.489 (multiplicity 2)
Fe: 0.051 0.761 0.744 (multiplicity 2)
Fe: 0.449 0.097 0.747 (multiplicity 2)
Si: 0.057 0.517 0.503 (multiplicity 2)
Si: 0.444 0.339 0.007 (multiplicity 2)
O: 0.039 0.094 0.714 (multiplicity 2)
O: 0.044 0.086 0.277 (multiplicity 2)
O: 0.060 0.879 0.497 (multiplicity 2)
O: 0.121 0.342 0.003 (multiplicity 2)
O: 0.380 0.514 0.505 (multiplicity 2)
O: 0.438 0.978 0.994 (multiplicity 2)
O: 0.455 0.771 0.213 (multiplicity 2)
O: 0.460 0.763 0.777 (multiplicity 2)

The 10 most intense peaks (2θ = 10–90°), by intensity:
two_theta	Rel. int.
33.02	100
24.11	97
34.98	84
28.17	59
16.34	50
22.19	46
21.51	45
58.25	45
32.45	38
23.64	36